Simulated X-ray diffraction stick pattern of Cs2In13 for Cu Kα (λ = 1.5418 Å), from a PBE-relaxed structure.

Atomic structure:
```
data_Cs2In13
_chemical_formula_sum 'Cs6 In39'
_cell_length_a 8.6011
_cell_length_b 8.6011
_cell_length_c 31.9010
_cell_angle_alpha 90.00
_cell_angle_beta 90.00
_cell_angle_gamma 120.00
_symmetry_space_group_name_H-M 'R -3 m'
_symmetry_Int_Tables_number 166
_symmetry_space_group_name_Hall '-R 3 2"'
loop_
_atom_site_label
_atom_site_fract_x
_atom_site_fract_y
_atom_site_fract_z
Cs1 0.0000 0.0000 0.1892
In1 0.0000 0.0000 0.0000
In2 0.0825 0.5413 0.5926
In3 0.0916 0.5458 0.3126
```

Largest 8 diffraction maxima, by angle, 15 to 90 degrees two-theta:
hkl 1 0 7, 2θ 22.9, I 55
hkl 2 1 1, 2θ 31.9, I 33
hkl 2 0 8, 2θ 32.9, I 23
hkl 0 1 11, 2θ 33.1, I 37
hkl 2 1 4, 2θ 33.8, I 76
hkl 1 2 5, 2θ 34.8, I 27
hkl 0 3 3, 2θ 37.2, I 100
hkl 3 0 6, 2θ 40.1, I 27